The following is a simulated XRD peak list of Li5Ti2Fe5O12. It was derived from a GGA+U-relaxed structure, using a wavelength of 1.5418 Å.
Neutral-atom scattering factors, no anomalous dispersion.

Structure:
```
Li5Ti2Fe5O12
1.0
2.5499 -4.5196 0.0000
2.5499 4.5196 0.0000
-2.0581 0.0000 9.8055
Li Ti Fe O
5 2 5 12
Direct
0.0000 0.0000 0.0000
0.2632 0.2377 0.7522
0.4076 0.0850 0.2477
0.7623 0.7368 0.2478
0.9150 0.5924 0.7523
0.3296 0.6704 0.0000
0.8388 0.1612 0.5000
0.0817 0.4115 0.2458
0.1649 0.8351 0.5000
0.5035 0.4965 0.5000
0.5885 0.9183 0.7542
0.6587 0.3413 0.0000
0.0389 0.6957 0.1128
0.0930 0.1106 0.3786
0.2010 0.5377 0.6187
0.3043 0.9611 0.8872
0.3927 0.4098 0.1129
0.4623 0.7990 0.3813
0.5630 0.2070 0.6155
0.5902 0.6073 0.8871
0.6841 0.0564 0.1122
0.7930 0.4370 0.3845
0.8894 0.9070 0.6214
0.9436 0.3159 0.8878
```

Largest 10 diffraction maxima, most intense first, 2θ from 15° to 90°:
- 2θ 42.27, intensity 100.0
- 2θ 43.97, intensity 45.6
- 2θ 18.09, intensity 36.8
- 2θ 36.94, intensity 31.4
- 2θ 62.79, intensity 26.5
- 2θ 62.46, intensity 26.3
- 2θ 23.74, intensity 25.4
- 2θ 20.71, intensity 21.8
- 2θ 19.64, intensity 17.3
- 2θ 26.83, intensity 14.4